(1)
Structure and calculated powder XRD pattern of MgTi7H16 (a PBE-relaxed structure; Cu Kα (weighted mean of Kα1 and Kα2)).
Neutral-atom scattering factors, no anomalous dispersion.

Structural model:
Unit cell a=6.2570 b=6.2570 c=6.2570 alpha=60.00 beta=60.00 gamma=60.00
Fractional coordinates of all 24 atoms:
Mg: 0.0000 0.0000 0.0000
Ti: 0.0000 0.0000 0.5000
Ti: 0.0000 0.5000 0.0000
Ti: 0.0000 0.5000 0.5000
Ti: 0.5000 0.0000 0.0000
Ti: 0.5000 0.0000 0.5000
Ti: 0.5000 0.5000 0.0000
Ti: 0.5000 0.5000 0.5000
H: 0.1266 0.6245 0.6245
H: 0.1285 0.1285 0.1285
H: 0.1285 0.1285 0.6144
H: 0.1285 0.6144 0.1285
H: 0.3755 0.3755 0.3755
H: 0.3755 0.3755 0.8734
H: 0.3755 0.8734 0.3755
H: 0.3856 0.8715 0.8715
H: 0.6144 0.1285 0.1285
H: 0.6245 0.1266 0.6245
H: 0.6245 0.6245 0.1266
H: 0.6245 0.6245 0.6245
H: 0.8715 0.3856 0.8715
H: 0.8715 0.8715 0.3856
H: 0.8715 0.8715 0.8715
H: 0.8734 0.3755 0.3755

Peak list (8 most intense, 2θ from 10° to 90°, sorted by position)
| 2theta | intensity |
| --- | --- |
| 17.36 | 2 |
| 20.07 | 1 |
| 35.13 | 100 |
| 40.79 | 43 |
| 59.05 | 31 |
| 70.61 | 32 |
| 74.26 | 9 |
| 88.37 | 4 |


(2)
Structure and calculated powder XRD pattern of TmMg2H6 (a PBE-relaxed structure; Cu Kα (weighted mean of Kα1 and Kα2)).
Neutral-atom scattering factors, no anomalous dispersion.

Structural model:
Unit cell a=5.2679 b=5.2679 c=5.2679 alpha=60.00 beta=60.00 gamma=60.00
Fractional coordinates of all 9 atoms:
Tm: 0.0000 0.0000 0.0000
Mg: 0.2500 0.2500 0.2500
Mg: 0.7500 0.7500 0.7500
H: 0.2735 0.2735 0.7265
H: 0.2735 0.7265 0.2735
H: 0.2735 0.7265 0.7265
H: 0.7265 0.2735 0.2735
H: 0.7265 0.2735 0.7265
H: 0.7265 0.7265 0.2735

Peak list (8 most intense, 2θ from 10° to 90°, sorted by position)
| 2theta | intensity |
| --- | --- |
| 20.65 | 100 |
| 23.89 | 27 |
| 34.04 | 73 |
| 40.14 | 56 |
| 53.62 | 25 |
| 60.92 | 27 |
| 65.05 | 18 |
| 75.50 | 18 |


(3)
Structure and calculated powder XRD pattern of Mg2ZrH (a PBE-relaxed structure; Cu Kα (weighted mean of Kα1 and Kα2)).
Neutral-atom scattering factors, no anomalous dispersion.

Structural model:
Unit cell a=5.8929 b=5.8929 c=5.8929 alpha=60.00 beta=60.00 gamma=60.00
Fractional coordinates of all 8 atoms:
Mg: 0.0000 0.0000 0.0000
Mg: 0.0000 0.0000 0.5000
Mg: 0.0000 0.5000 0.0000
Mg: 0.5000 0.0000 0.0000
Zr: 0.3750 0.3750 0.3750
Zr: 0.6250 0.6250 0.6250
H: 0.1250 0.1250 0.1250
H: 0.8750 0.8750 0.8750

Peak list (8 most intense, 2θ from 10° to 90°, sorted by position)
| 2theta | intensity |
| --- | --- |
| 18.44 | 32 |
| 30.34 | 86 |
| 35.73 | 100 |
| 53.90 | 32 |
| 57.46 | 33 |
| 63.11 | 23 |
| 71.61 | 13 |
| 87.62 | 16 |


(4)
Structure and calculated powder XRD pattern of MgZr2H8 (a PBE-relaxed structure; Cu Kα (weighted mean of Kα1 and Kα2)).
Neutral-atom scattering factors, no anomalous dispersion.

Structural model:
Unit cell a=5.8563 b=5.8563 c=5.8563 alpha=147.47 beta=129.31 gamma=61.53
Fractional coordinates of all 11 atoms:
Mg: 0.0000 0.0000 0.0000
Zr: 0.3293 0.3293 0.0000
Zr: 0.6707 0.6707 0.0000
H: 0.0971 0.8466 0.2505
H: 0.1937 0.6937 0.5000
H: 0.2613 0.5000 0.7613
H: 0.4039 0.1534 0.2505
H: 0.5961 0.8466 0.7495
H: 0.7387 0.5000 0.2387
H: 0.8063 0.3063 0.5000
H: 0.9029 0.1534 0.7495

Peak list (8 most intense, 2θ from 10° to 90°, sorted by position)
| 2theta | intensity |
| --- | --- |
| 17.62 | 31 |
| 19.78 | 30 |
| 32.10 | 100 |
| 32.62 | 96 |
| 35.82 | 36 |
| 38.38 | 59 |
| 53.50 | 49 |
| 65.18 | 24 |